Diffraction record for SrV3O7. The XRD peak list is computed, not measured: it uses a DFT-relaxed cell (PBE+U, Alexandria) and Cu Kα (λ = 1.5418 Å).

Largest 8 diffraction maxima, in order of falling intensity, 2θ = 10–90°:
d/Å  2θ (°)  I (rel.)  (hkl)
3.136  28.5  100  1 2 1
3.652  24.4  34  1 1 1
1.887  48.2  28  2 4 0
5.639  15.7  28  0 0 1
2.687  33.3  23  2 0 0
1.683  54.5  15  1 2 3
2.650  33.8  14  0 4 0
3.862  23.0  14  0 2 1

Structural model:
a = 5.3747 Å, b = 10.6013 Å, c = 5.6389 Å
α = 90.00°, β = 90.00°, γ = 90.00°
Space group Pmmn (No. 59, origin choice 2)
Unique sites:
Sr  0.2500  0.2500  0.1470 x2
V  0.2500  0.0196  0.6187 x4
V  0.2500  0.7500  0.4193 x2
O  0.0136  0.6196  0.5457 x8
O  0.2500  0.0588  0.9032 x4
O  0.2500  0.7500  0.1249 x2